(1)
Starting from the PBE geometry in Alexandria, the PXRD pattern of Y7Co was calculated for Cu Ka.

Most intense lines, 10 to 90 degrees two-theta, in order of falling intensity:
- 2θ 31.73, intensity 100
- 2θ 36.80, intensity 50
- 2θ 63.12, intensity 39
- 2θ 53.02, intensity 34
- 2θ 86.93, intensity 16
- 2θ 89.79, intensity 15
- 2θ 66.28, intensity 11
- 2θ 78.29, intensity 5
- 2θ 15.71, intensity 1
- 2θ 30.34, intensity 1

Structure:
abc: 6.908 6.908 6.908
angles: 60.00 60.00 60.00
Fractional positions:
Y  0.000  0.000  0.000
Y  0.000  0.000  0.500
Y  0.000  0.500  0.000
Y  0.000  0.500  0.500
Y  0.500  0.000  0.000
Y  0.500  0.000  0.500
Y  0.500  0.500  0.000
Co  0.500  0.500  0.500

(2)
Starting from the PBE geometry in Alexandria, the PXRD pattern of NbSbPd was calculated for Cu Ka.

Most intense lines, 10 to 90 degrees two-theta, in order of falling intensity:
- 2θ 40.51, intensity 100
- 2θ 33.67, intensity 66
- 2θ 44.57, intensity 54
- 2θ 60.22, intensity 33
- 2θ 75.11, intensity 33
- 2θ 38.35, intensity 32
- 2θ 79.33, intensity 27
- 2θ 31.11, intensity 25
- 2θ 64.86, intensity 17
- 2θ 77.93, intensity 16

Structure:
abc: 7.605 7.605 7.605
angles: 148.99 148.99 44.43
Fractional positions:
Nb  0.000  0.500  0.500
Nb  0.500  0.000  0.500
Sb  0.157  0.157  0.000
Sb  0.843  0.843  0.000
Pd  0.354  0.354  0.000
Pd  0.646  0.646  0.000

(3)
Starting from the PBE geometry in Alexandria, the PXRD pattern of CeSiIr2 was calculated for Cu Ka.

Most intense lines, 10 to 90 degrees two-theta, in order of falling intensity:
- 2θ 34.69, intensity 100
- 2θ 44.76, intensity 35
- 2θ 75.97, intensity 21
- 2θ 35.20, intensity 17
- 2θ 29.70, intensity 16
- 2θ 47.45, intensity 13
- 2θ 54.64, intensity 12
- 2θ 65.15, intensity 11
- 2θ 48.40, intensity 11
- 2θ 19.67, intensity 10

Structure:
abc: 18.274 18.274 18.274
angles: 167.28 167.28 18.03
Fractional positions:
Ce  0.051  0.301  0.750
Ce  0.301  0.051  0.250
Ce  0.699  0.949  0.750
Ce  0.949  0.699  0.250
Si  0.161  0.411  0.750
Si  0.411  0.161  0.250
Si  0.589  0.839  0.750
Si  0.839  0.589  0.250
Ir  0.125  0.875  0.250
Ir  0.227  0.477  0.750
Ir  0.375  0.625  0.750
Ir  0.477  0.227  0.250
Ir  0.523  0.773  0.750
Ir  0.625  0.375  0.250
Ir  0.773  0.523  0.250
Ir  0.875  0.125  0.750

(4)
Starting from the PBE geometry in Alexandria, the PXRD pattern of TbNdDy3 was calculated for Cu Ka.

Most intense lines, 10 to 90 degrees two-theta, in order of falling intensity:
- 2θ 30.64, intensity 100
- 2θ 35.50, intensity 34
- 2θ 51.17, intensity 24
- 2θ 60.81, intensity 18
- 2θ 35.60, intensity 17
- 2θ 60.70, intensity 14
- 2θ 51.05, intensity 12
- 2θ 60.90, intensity 11
- 2θ 83.44, intensity 10
- 2θ 63.84, intensity 9

Structure:
abc: 3.571 9.442 10.122
angles: 105.55 90.16 100.74
Fractional positions:
Tb  0.200  0.401  0.350
Tb  0.800  0.599  0.650
Nd  0.000  0.000  0.250
Nd  0.000  0.000  0.750
Dy  0.200  0.401  0.851
Dy  0.398  0.797  0.949
Dy  0.399  0.797  0.449
Dy  0.601  0.203  0.551
Dy  0.602  0.203  0.051
Dy  0.800  0.599  0.149

(5)
Starting from the PBE geometry in Alexandria, the PXRD pattern of ZrIn2Br4F2 was calculated for Cu Ka.

Most intense lines, 10 to 90 degrees two-theta, in order of falling intensity:
- 2θ 29.14, intensity 100
- 2θ 21.68, intensity 74
- 2θ 23.50, intensity 62
- 2θ 36.93, intensity 60
- 2θ 38.31, intensity 50
- 2θ 25.65, intensity 49
- 2θ 13.36, intensity 34
- 2θ 52.73, intensity 32
- 2θ 26.91, intensity 27
- 2θ 46.35, intensity 26

Structure:
abc: 7.527 7.527 6.010
angles: 102.67 102.67 62.74
Fractional positions:
Zr  0.000  0.000  0.000
In  0.265  0.265  0.690
In  0.735  0.735  0.310
Br  0.142  0.658  0.180
Br  0.342  0.858  0.820
Br  0.658  0.142  0.180
Br  0.858  0.342  0.820
F  0.123  0.123  0.287
F  0.877  0.877  0.713

(6)
Starting from the PBE geometry in Alexandria, the PXRD pattern of CeP3Pd5 was calculated for Cu Ka.

Most intense lines, 10 to 90 degrees two-theta, in order of falling intensity:
- 2θ 38.29, intensity 100
- 2θ 31.71, intensity 88
- 2θ 32.61, intensity 63
- 2θ 31.53, intensity 58
- 2θ 44.66, intensity 50
- 2θ 46.06, intensity 48
- 2θ 26.18, intensity 36
- 2θ 41.91, intensity 34
- 2θ 34.30, intensity 26
- 2θ 56.89, intensity 21

Structure:
abc: 6.732 6.732 12.029
angles: 90.00 90.00 145.96
Fractional positions:
Ce  0.125  0.875  0.750
Ce  0.875  0.125  0.250
P  0.132  0.868  0.250
P  0.399  0.601  0.066
P  0.399  0.601  0.434
P  0.601  0.399  0.566
P  0.601  0.399  0.934
P  0.868  0.132  0.750
Pd  0.000  0.000  0.000
Pd  0.000  0.000  0.500
Pd  0.221  0.779  0.078
Pd  0.221  0.779  0.422
Pd  0.420  0.580  0.639
Pd  0.420  0.580  0.861
Pd  0.580  0.420  0.139
Pd  0.580  0.420  0.361
Pd  0.779  0.221  0.578
Pd  0.779  0.221  0.922

(7)
Starting from the PBE geometry in Alexandria, the PXRD pattern of Ba2SmThSb4 was calculated for Cu Ka.

Most intense lines, 10 to 90 degrees two-theta, in order of falling intensity:
- 2θ 26.56, intensity 100
- 2θ 38.50, intensity 39
- 2θ 37.32, intensity 37
- 2θ 47.38, intensity 24
- 2θ 62.64, intensity 19
- 2θ 60.99, intensity 15
- 2θ 54.70, intensity 13
- 2θ 11.07, intensity 9
- 2θ 68.85, intensity 9
- 2θ 69.65, intensity 7

Structure:
abc: 8.094 4.679 8.439
angles: 90.00 108.71 90.00
Fractional positions:
Ba  0.000  0.000  0.000
Ba  0.500  0.500  0.000
Sm  0.000  0.500  0.500
Th  0.500  0.000  0.500
Sb  0.239  0.000  0.716
Sb  0.262  0.500  0.284
Sb  0.738  0.500  0.716
Sb  0.761  0.000  0.284

(8)
Starting from the PBE geometry in Alexandria, the PXRD pattern of SrBi2P2Pd7 was calculated for Cu Ka.

Most intense lines, 10 to 90 degrees two-theta, in order of falling intensity:
- 2θ 40.95, intensity 100
- 2θ 33.03, intensity 67
- 2θ 35.16, intensity 54
- 2θ 37.63, intensity 42
- 2θ 42.39, intensity 32
- 2θ 35.30, intensity 29
- 2θ 24.84, intensity 27
- 2θ 30.91, intensity 27
- 2θ 72.32, intensity 25
- 2θ 27.95, intensity 24

Structure:
abc: 4.499 4.499 11.952
angles: 90.16 90.16 85.13
Fractional positions:
Sr  0.000  0.000  0.000
Bi  0.174  0.174  0.402
Bi  0.826  0.826  0.598
P  0.368  0.368  0.822
P  0.632  0.632  0.178
Pd  0.129  0.636  0.238
Pd  0.364  0.871  0.762
Pd  0.385  0.385  0.610
Pd  0.500  0.500  0.000
Pd  0.615  0.615  0.390
Pd  0.636  0.129  0.238
Pd  0.871  0.364  0.762

(9)
Starting from the PBE geometry in Alexandria, the PXRD pattern of AcSiAgO4 was calculated for Cu Ka.

Most intense lines, 10 to 90 degrees two-theta, in order of falling intensity:
- 2θ 28.16, intensity 100
- 2θ 37.31, intensity 81
- 2θ 18.38, intensity 78
- 2θ 30.00, intensity 56
- 2θ 58.08, intensity 35
- 2θ 35.34, intensity 30
- 2θ 41.55, intensity 29
- 2θ 34.00, intensity 23
- 2θ 58.24, intensity 23
- 2θ 14.87, intensity 22

Structure:
abc: 6.643 6.643 6.643
angles: 127.47 101.56 101.03
Fractional positions:
Ac  0.000  0.000  0.000
Ac  0.500  0.000  0.500
Si  0.365  0.615  0.750
Si  0.635  0.385  0.250
Ag  0.000  0.000  0.500
Ag  0.000  0.500  0.000
O  0.247  0.261  0.514
O  0.247  0.732  0.986
O  0.295  0.712  0.583
O  0.370  0.288  0.083
O  0.630  0.712  0.917
O  0.705  0.288  0.417
O  0.753  0.268  0.014
O  0.753  0.739  0.486

(10)
Starting from the PBE geometry in Alexandria, the PXRD pattern of Li2CeTl4 was calculated for Cu Ka.

Most intense lines, 10 to 90 degrees two-theta, in order of falling intensity:
- 2θ 26.54, intensity 100
- 2θ 36.20, intensity 91
- 2θ 33.83, intensity 73
- 2θ 48.81, intensity 32
- 2θ 19.78, intensity 26
- 2θ 63.61, intensity 24
- 2θ 50.39, intensity 24
- 2θ 45.45, intensity 24
- 2θ 41.59, intensity 24
- 2θ 59.44, intensity 22

Structure:
abc: 9.422 9.422 9.422
angles: 30.54 30.54 30.54
Fractional positions:
Li  0.131  0.131  0.131
Li  0.869  0.869  0.869
Ce  0.000  0.000  0.000
Tl  0.237  0.237  0.237
Tl  0.389  0.389  0.389
Tl  0.611  0.611  0.611
Tl  0.763  0.763  0.763

(11)
Starting from the PBE geometry in Alexandria, the PXRD pattern of In5AgSe8 was calculated for Cu Ka.

Most intense lines, 10 to 90 degrees two-theta, in order of falling intensity:
- 2θ 25.98, intensity 100
- 2θ 42.96, intensity 24
- 2θ 43.05, intensity 24
- 2θ 43.20, intensity 23
- 2θ 50.76, intensity 14
- 2θ 51.02, intensity 14
- 2θ 51.19, intensity 13
- 2θ 16.67, intensity 10
- 2θ 27.14, intensity 8
- 2θ 68.86, intensity 8

Structure:
abc: 7.255 7.255 8.430
angles: 90.22 90.22 109.12
Fractional positions:
In  0.000  0.000  0.000
In  0.515  0.485  0.000
In  0.516  0.013  0.257
In  0.987  0.484  0.743
In  0.990  0.010  0.500
Ag  0.506  0.494  0.500
Se  0.119  0.388  0.480
Se  0.123  0.853  0.252
Se  0.124  0.386  0.018
Se  0.147  0.877  0.748
Se  0.611  0.328  0.751
Se  0.612  0.881  0.520
Se  0.614  0.876  0.982
Se  0.672  0.389  0.249

(12)
Starting from the PBE geometry in Alexandria, the PXRD pattern of Cd2Hg3 was calculated for Cu Ka.

Most intense lines, 10 to 90 degrees two-theta, in order of falling intensity:
- 2θ 34.43, intensity 100
- 2θ 36.52, intensity 79
- 2θ 24.89, intensity 52
- 2θ 63.04, intensity 32
- 2θ 51.06, intensity 30
- 2θ 61.67, intensity 19
- 2θ 84.09, intensity 15
- 2θ 42.95, intensity 13
- 2θ 56.17, intensity 12
- 2θ 87.74, intensity 12

Structure:
abc: 5.210 5.210 5.871
angles: 90.00 90.00 120.00
Fractional positions:
Cd  0.333  0.667  0.381
Cd  0.667  0.333  0.619
Hg  0.000  0.000  0.500
Hg  0.333  0.667  0.887
Hg  0.667  0.333  0.113